Starting from a PBE-relaxed structure, the powder diffractogram of LiScAgAu was calculated for λ = 1.5418 Å (Cu Kα).
Kinematic intensities with the Lorentz-polarization factor, no thermal factor.

Peak list (6 most intense, 15° ≤ 2θ ≤ 90°, by intensity)
38.6 deg, d 2.332, I 100, (1 2 1)
26.5 deg, d 3.361, I 69, (1 0 1)
27.5 deg, d 3.238, I 32, (0 2 0)
47.5 deg, d 1.916, I 29, (2 2 0)
37.9 deg, d 2.373, I 27, (2 0 0)
37.8 deg, d 2.379, I 26, (0 0 2)

```
data_LiScAgAu
_chemical_formula_sum 'Li2 Sc2 Ag2 Au2'
_space_group_name_H-M_alt 'P m m 2'
_space_group_IT_number 25
_cell_length_a 4.7464
_cell_length_b 6.4759
_cell_length_c 4.7590
_cell_angle_alpha 90.00
_cell_angle_beta 90.00
_cell_angle_gamma 90.00
loop_
_space_group_symop_operation_xyz
'x,y,z'
'-x,-y,z'
'-x,y,z'
'x,-y,z'
loop_
_atom_site_label
_atom_site_type_symbol
_atom_site_fract_x
_atom_site_fract_y
_atom_site_fract_z
Li1 Li 0.0000 0.2499 0.0000
Sc1 Sc 0.5000 0.2500 0.5265
Ag1 Ag 0.0000 0.0000 0.4885
Ag2 Ag 0.5000 0.5000 0.0272
Au1 Au 0.0000 0.5000 0.4925
Au2 Au 0.5000 0.0000 0.0252
```

---

Starting from a PBE-relaxed structure, the powder diffractogram of Nd3Co13B2 was calculated for λ = 1.5418 Å (Cu Kα).
Kinematic intensities with the Lorentz-polarization factor, no thermal factor.

Peak list (6 most intense, 15° ≤ 2θ ≤ 90°, by intensity)
43.8 deg, d 2.068, I 100, (1 1 3)
32.3 deg, d 2.774, I 71, (1 0 3)
41.2 deg, d 2.192, I 62, (2 0 0)
35.5 deg, d 2.532, I 33, (1 1 0)
69.5 deg, d 1.353, I 24, (3 0 3)
61.7 deg, d 1.504, I 22, (2 1 3)

```
data_Nd3Co13B2
_chemical_formula_sum 'Nd3 Co13 B2'
_space_group_name_H-M_alt 'P 6/m m m'
_space_group_IT_number 191
_space_group_name_Hall '-P 6 2'
_cell_length_a 5.0631
_cell_length_b 5.0631
_cell_length_c 10.7487
_cell_angle_alpha 90.00
_cell_angle_beta 90.00
_cell_angle_gamma 120.00
loop_
_atom_site_label
_atom_site_type_symbol
_atom_site_fract_x
_atom_site_fract_y
_atom_site_fract_z
Nd1 Nd 0.0000 0.0000 0.0000
Nd2 Nd 0.0000 0.0000 0.3227
Co1 Co 0.0000 0.5000 0.1345
Co2 Co 0.0000 0.5000 0.5000
Co3 Co 0.3333 0.6667 0.3182
B1 B 0.3333 0.6667 0.0000
```

---

Starting from a PBE-relaxed structure, the powder diffractogram of DyTm2Cu4Si2Ge2 was calculated for λ = 1.5418 Å (Cu Kα).
Kinematic intensities with the Lorentz-polarization factor, no thermal factor.

Peak list (6 most intense, 15° ≤ 2θ ≤ 90°, by intensity)
35.5 deg, d 2.528, I 100, (1 2 1)
36.7 deg, d 2.447, I 92, (1 1 4)
43.8 deg, d 2.068, I 29, (2 0 0)
65.3 deg, d 1.428, I 23, (1 0 9)
46.0 deg, d 1.975, I 21, (0 3 3)
40.2 deg, d 2.241, I 19, (1 2 3)

```
data_DyTm2Cu4Si2Ge2
_chemical_formula_sum 'Dy2 Tm4 Cu8 Si4 Ge4'
_space_group_name_H-M_alt 'I m m m'
_space_group_IT_number 71
_space_group_name_Hall '-I 2 2'
_cell_length_a 4.1358
_cell_length_b 6.5727
_cell_length_c 13.6892
_cell_angle_alpha 90.00
_cell_angle_beta 90.00
_cell_angle_gamma 90.00
loop_
_atom_site_label
_atom_site_type_symbol
_atom_site_fract_x
_atom_site_fract_y
_atom_site_fract_z
Dy1 Dy 0.0000 0.0000 0.0000
Tm1 Tm 0.0000 0.5000 0.1288
Cu1 Cu 0.0000 0.3089 0.3357
Si1 Si 0.0000 0.1831 0.5000
Ge1 Ge 0.0000 0.0000 0.2177
```

---

Starting from a PBE-relaxed structure, the powder diffractogram of Ta2Pb3O8 was calculated for λ = 1.5418 Å (Cu Kα).
Kinematic intensities with the Lorentz-polarization factor, no thermal factor.

Peak list (6 most intense, 15° ≤ 2θ ≤ 90°, by intensity)
27.8 deg, d 3.212, I 100, (1 1 -2)
31.4 deg, d 2.852, I 72, (3 1 -1)
29.7 deg, d 3.009, I 42, (2 0 1)
29.8 deg, d 2.993, I 40, (0 2 0)
42.6 deg, d 2.122, I 38, (2 2 1)
49.2 deg, d 1.851, I 23, (1 1 3)

```
data_Ta2Pb3O8
_chemical_formula_sum 'Ta4 Pb6 O16'
_space_group_name_H-M_alt 'C 1 2 1'
_space_group_IT_number 5
_cell_length_a 9.7517
_cell_length_b 5.9865
_cell_length_c 7.6517
_cell_angle_alpha 90.00
_cell_angle_beta 118.74
_cell_angle_gamma 90.00
loop_
_space_group_symop_operation_xyz
'x,y,z'
'-x,y,-z'
'x+1/2,y+1/2,z'
'-x+1/2,y+1/2,-z'
loop_
_atom_site_label
_atom_site_type_symbol
_atom_site_fract_x
_atom_site_fract_y
_atom_site_fract_z
Ta1 Ta 0.1061 0.0000 0.3111
Pb1 Pb 0.0000 0.5044 0.5000
Pb2 Pb 0.2100 0.4718 0.0950
O1 O 0.0259 0.7562 0.8048
O2 O 0.0624 0.1925 0.7193
O3 O 0.1907 0.0505 0.1434
O4 O 0.2430 0.3546 0.4514
```

---

Starting from a PBE-relaxed structure, the powder diffractogram of BaTb2PtO6 was calculated for λ = 1.5418 Å (Cu Kα).
Kinematic intensities with the Lorentz-polarization factor, no thermal factor.

Peak list (6 most intense, 15° ≤ 2θ ≤ 90°, by intensity)
29.0 deg, d 3.079, I 100, (1 1 0)
51.4 deg, d 1.778, I 42, (1 1 4)
41.5 deg, d 2.177, I 28, (2 0 0)
83.0 deg, d 1.164, I 22, (3 1 4)
60.1 deg, d 1.540, I 18, (2 2 0)
68.1 deg, d 1.378, I 12, (3 1 0)

```
data_BaTb2PtO6
_chemical_formula_sum 'Ba1 Tb2 Pt1 O6'
_space_group_name_H-M_alt 'P 4/m m m'
_space_group_IT_number 123
_space_group_name_Hall '-P 4 2'
_cell_length_a 4.3569
_cell_length_b 4.3569
_cell_length_c 8.6991
_cell_angle_alpha 90.00
_cell_angle_beta 90.00
_cell_angle_gamma 90.00
loop_
_atom_site_label
_atom_site_type_symbol
_atom_site_fract_x
_atom_site_fract_y
_atom_site_fract_z
Ba1 Ba 0.0000 0.0000 0.0000
Tb1 Tb 0.5000 0.5000 0.2542
Pt1 Pt 0.0000 0.0000 0.5000
O1 O 0.0000 0.5000 0.2737
O2 O 0.5000 0.5000 0.0000
O3 O 0.5000 0.5000 0.5000
```

---

Starting from a PBE-relaxed structure, the powder diffractogram of Al2Ag2Bi2S3Cl8 was calculated for λ = 1.5418 Å (Cu Kα).
Kinematic intensities with the Lorentz-polarization factor, no thermal factor.

Peak list (6 most intense, 15° ≤ 2θ ≤ 90°, by intensity)
25.6 deg, d 3.484, I 100, (1 1 0)
31.6 deg, d 2.833, I 82, (1 0 7)
24.7 deg, d 3.603, I 59, (1 0 5)
15.2 deg, d 5.828, I 50, (1 0 1)
49.0 deg, d 1.859, I 49, (2 1 7)
26.8 deg, d 3.328, I 49, (1 1 2)

```
data_Al2Ag2Bi2S3Cl8
_chemical_formula_sum 'Al4 Ag4 Bi4 S6 Cl16'
_space_group_name_H-M_alt 'P -6 2 c'
_space_group_IT_number 190
_space_group_name_Hall 'P -6c -2c'
_cell_length_a 6.9682
_cell_length_b 6.9682
_cell_length_c 22.4548
_cell_angle_alpha 90.00
_cell_angle_beta 90.00
_cell_angle_gamma 120.00
loop_
_atom_site_label
_atom_site_type_symbol
_atom_site_fract_x
_atom_site_fract_y
_atom_site_fract_z
Al1 Al 0.3333 0.6667 0.0795
Ag1 Ag 0.0000 0.0000 0.2500
Ag2 Ag 0.3333 0.6667 0.2500
Bi1 Bi 0.3333 0.6667 0.6720
S1 S 0.0467 0.3788 0.7500
Cl1 Cl 0.0926 0.7487 0.1152
Cl2 Cl 0.3333 0.6667 0.5148
```

---

Starting from a PBE-relaxed structure, the powder diffractogram of Ag2HgGeSeS3 was calculated for λ = 1.5418 Å (Cu Kα).
Kinematic intensities with the Lorentz-polarization factor, no thermal factor.

Peak list (6 most intense, 15° ≤ 2θ ≤ 90°, by intensity)
26.6 deg, d 3.352, I 100, (2 0 -2)
43.8 deg, d 2.066, I 39, (2 2 1)
26.3 deg, d 3.388, I 30, (2 0 0)
44.1 deg, d 2.054, I 25, (2 2 -3)
51.9 deg, d 1.761, I 20, (4 2 -1)
30.8 deg, d 2.904, I 17, (2 2 -1)

```
data_Ag2HgGeSeS3
_chemical_formula_sum 'Ag4 Hg2 Ge2 Se2 S6'
_space_group_name_H-M_alt 'C 1 m 1'
_space_group_IT_number 8
_cell_length_a 8.2587
_cell_length_b 8.1716
_cell_length_c 7.1280
_cell_angle_alpha 90.00
_cell_angle_beta 124.88
_cell_angle_gamma 90.00
loop_
_space_group_symop_operation_xyz
'x,y,z'
'x,-y,z'
'x+1/2,y+1/2,z'
'x+1/2,-y+1/2,z'
loop_
_atom_site_label
_atom_site_type_symbol
_atom_site_fract_x
_atom_site_fract_y
_atom_site_fract_z
Ag1 Ag 0.0000 0.2378 0.0000
Hg1 Hg 0.0022 0.5000 0.5094
Ge1 Ge 0.0165 0.0000 0.5186
Se1 Se 0.1603 0.5000 0.2662
S1 S 0.1173 0.0000 0.2818
S2 S 0.1273 0.2232 0.7495
```

---

Starting from a PBE-relaxed structure, the powder diffractogram of LaErGa4 was calculated for λ = 1.5418 Å (Cu Kα).
Kinematic intensities with the Lorentz-polarization factor, no thermal factor.

Peak list (6 most intense, 15° ≤ 2θ ≤ 90°, by intensity)
34.5 deg, d 2.596, I 100, (1 1 2)
28.8 deg, d 3.104, I 79, (1 3 1)
39.5 deg, d 2.282, I 76, (0 6 2)
39.8 deg, d 2.264, I 66, (1 7 0)
59.6 deg, d 1.552, I 45, (2 6 2)
42.7 deg, d 2.116, I 43, (2 0 0)

```
data_LaErGa4
_chemical_formula_sum 'La4 Er4 Ga16'
_space_group_name_H-M_alt 'C m c m'
_space_group_IT_number 63
_space_group_name_Hall '-C 2c 2'
_cell_length_a 4.2325
_cell_length_b 18.7587
_cell_length_c 6.6787
_cell_angle_alpha 90.00
_cell_angle_beta 90.00
_cell_angle_gamma 90.00
loop_
_atom_site_label
_atom_site_type_symbol
_atom_site_fract_x
_atom_site_fract_y
_atom_site_fract_z
La1 La 0.0000 0.0922 0.2500
Er1 Er 0.0000 0.2350 0.7500
Ga1 Ga 0.0000 0.0737 0.7500
Ga2 Ga 0.0000 0.3513 0.0529
Ga3 Ga 0.0000 0.5000 0.0000
```